The following is a computed PXRD pattern of BaCd2Ag4Pb. It was derived from the GGA-PBE geometry in Alexandria, using λ = 1.5418 Å (Cu Kα).
Kinematic intensities with the Lorentz-polarization factor, no thermal factor.

Cell and atoms:
a = 10.626 Å, b = 10.626 Å, c = 10.626 Å
α = 26.27°, β = 26.27°, γ = 26.27°
Positions (direct):
Ba (0.000, 0.000, 0.000)
Cd (0.246, 0.246, 0.246)
Cd (0.754, 0.754, 0.754)
Ag (0.118, 0.118, 0.118)
Ag (0.404, 0.404, 0.404)
Ag (0.596, 0.596, 0.596)
Ag (0.882, 0.882, 0.882)
Pb (0.500, 0.500, 0.500)

Most intense lines, 10 to 90 degrees two-theta, sorted by position:
d 4.036, 2θ = 22.02°, I = 15
d 2.831, 2θ = 31.61°, I = 96
d 2.478, 2θ = 36.25°, I = 19
d 2.415, 2θ = 37.23°, I = 100
d 1.837, 2θ = 49.62°, I = 27
d 1.758, 2θ = 52.03°, I = 18
d 1.462, 2θ = 63.64°, I = 25
d 1.394, 2θ = 67.13°, I = 19